No. 1
SmTm4Ir4: simulated X-ray diffraction stick pattern (Cu Ka), based on a structure optimized by DFT (GGA-PBE).
Kinematic intensities with the Lorentz-polarization factor, no thermal factor.

Main lines, by intensity (10 to 80 degrees two-theta):
| hkl | Position (°2θ) | Rel. int. |
| --- | --- | --- |
| 1 3 0 | 31.9 | 100 |
| 1 0 2 | 33.6 | 51 |
| 4 2 0 | 45.7 | 37 |
| 3 0 2 | 44.6 | 35 |
| 3 2 2 | 49.3 | 29 |
| 1 2 2 | 39.4 | 24 |
| 2 3 1 | 40.0 | 23 |
| 1 1 0 | 14.1 | 20 |
| 4 1 1 | 45.1 | 16 |
| 1 0 1 | 18.7 | 15 |

Atomic structure:
```
data_SmTm4Ir4
_chemical_formula_sum 'Sm2 Tm8 Ir8'
_space_group_name_H-M_alt 'P 42/n'
_space_group_IT_number 86
_cell_length_a 8.874
_cell_length_b 8.874
_cell_length_c 5.595
_cell_angle_alpha 90.00
_cell_angle_beta 90.00
_cell_angle_gamma 90.00
loop_
_space_group_symop_operation_xyz
'x,y,z'
'-x,-y,-z'
'-y,x+1/2,z+1/2'
'y,-x+1/2,-z+1/2'
'-x+1/2,-y+1/2,z'
'x+1/2,y+1/2,-z'
'y+1/2,-x,z+1/2'
'-y+1/2,x,-z+1/2'
loop_
_atom_site_label
_atom_site_type_symbol
_atom_site_fract_x
_atom_site_fract_y
_atom_site_fract_z
Sm1 Sm 0.250 0.250 0.250
Tm1 Tm 0.084 0.655 0.143
Ir1 Ir 0.034 0.615 0.645
```

***

No. 2
La2ThPt9: simulated X-ray diffraction stick pattern (Cu Ka), based on a structure optimized by DFT (GGA-PBE).
Kinematic intensities with the Lorentz-polarization factor, no thermal factor.

Main lines, by intensity (10 to 80 degrees two-theta):
| hkl | Position (°2θ) | Rel. int. |
| --- | --- | --- |
| 1 1 6 | 38.5 | 100 |
| 2 0 5 | 41.6 | 36 |
| 0 2 1 | 38.2 | 31 |
| 0 0 12 | 39.8 | 29 |
| 2 2 0 | 68.7 | 26 |
| 3 0 6 | 62.3 | 25 |
| 1 1 0 | 32.8 | 21 |
| 0 1 8 | 32.5 | 17 |
| 1 0 1 | 19.0 | 16 |
| 2 0 2 | 38.6 | 16 |

Atomic structure:
```
data_La2ThPt9
_chemical_formula_sum 'La6 Th3 Pt27'
_space_group_name_H-M_alt 'R -3 m'
_space_group_IT_number 166
_space_group_name_Hall '-R 3 2"'
_cell_length_a 5.4643
_cell_length_b 5.4643
_cell_length_c 27.1522
_cell_angle_alpha 90.00
_cell_angle_beta 90.00
_cell_angle_gamma 120.00
loop_
_atom_site_label
_atom_site_type_symbol
_atom_site_fract_x
_atom_site_fract_y
_atom_site_fract_z
La1 La 0.0000 0.0000 0.1394
Th1 Th 0.0000 0.0000 0.0000
Pt1 Pt 0.0000 0.0000 0.3328
Pt2 Pt 0.0000 0.0000 0.5000
Pt3 Pt 0.0023 0.5012 0.9162
```

***

No. 3
TbPt10Pb: simulated X-ray diffraction stick pattern (Cu Ka), based on a structure optimized by DFT (GGA-PBE).
Kinematic intensities with the Lorentz-polarization factor, no thermal factor.

Main lines, by intensity (10 to 80 degrees two-theta):
| hkl | Position (°2θ) | Rel. int. |
| --- | --- | --- |
| 1 1 3 | 39.1 | 100 |
| 2 0 0 | 40.6 | 51 |
| 1 2 0 | 38.9 | 51 |
| 1 2 2 | 43.7 | 44 |
| 0 2 2 | 38.5 | 29 |
| 1 3 3 | 63.2 | 25 |
| 0 1 1 | 19.0 | 22 |
| 1 0 4 | 43.9 | 21 |
| 1 1 1 | 27.7 | 21 |
| 0 2 6 | 69.9 | 21 |

Atomic structure:
```
data_TbPt10Pb
_chemical_formula_sum 'Tb1 Pt10 Pb1'
_space_group_name_H-M_alt 'P m m m'
_space_group_IT_number 47
_space_group_name_Hall '-P 2 2'
_cell_length_a 4.449
_cell_length_b 5.415
_cell_length_c 9.299
_cell_angle_alpha 90.00
_cell_angle_beta 90.00
_cell_angle_gamma 90.00
loop_
_atom_site_label
_atom_site_type_symbol
_atom_site_fract_x
_atom_site_fract_y
_atom_site_fract_z
Tb1 Tb 0.000 0.000 0.000
Pt1 Pt 0.000 0.000 0.332
Pt2 Pt 0.000 0.500 0.166
Pt3 Pt 0.500 0.000 0.500
Pt4 Pt 0.500 0.246 0.244
Pt5 Pt 0.500 0.500 0.000
Pb1 Pb 0.000 0.500 0.500
```

***

No. 4
LaVGe3: simulated X-ray diffraction stick pattern (Cu Ka), based on a structure optimized by DFT (GGA-PBE).
Kinematic intensities with the Lorentz-polarization factor, no thermal factor.

Main lines, by intensity (10 to 80 degrees two-theta):
| hkl | Position (°2θ) | Rel. int. |
| --- | --- | --- |
| 2 0 1 | 36.5 | 100 |
| 2 0 2 | 46.2 | 29 |
| 0 0 2 | 31.6 | 29 |
| 2 0 3 | 59.5 | 24 |
| 1 1 0 | 28.3 | 20 |
| 1 0 2 | 35.7 | 19 |
| 2 2 0 | 58.6 | 17 |
| 2 1 1 | 46.9 | 13 |
| 2 0 0 | 32.8 | 12 |
| 2 2 2 | 68.1 | 11 |

Atomic structure:
```
data_LaVGe3
_chemical_formula_sum 'La2 V2 Ge6'
_space_group_name_H-M_alt 'P 63/m m c'
_space_group_IT_number 194
_space_group_name_Hall '-P 6c 2c'
_cell_length_a 6.3033
_cell_length_b 6.3033
_cell_length_c 5.6666
_cell_angle_alpha 90.00
_cell_angle_beta 90.00
_cell_angle_gamma 120.00
loop_
_atom_site_label
_atom_site_type_symbol
_atom_site_fract_x
_atom_site_fract_y
_atom_site_fract_z
La1 La 0.3333 0.6667 0.2500
V1 V 0.0000 0.0000 0.0000
Ge1 Ge 0.1938 0.3876 0.7500
```